Record 1
Structure and computed X-ray powder pattern of Y2Al5Ag5 (a crystal structure in Alexandria, relaxed with PBE; copper Kα).

Structure:
```
data_Y2Al5Ag5
_space_group_name_H-M_alt 'P m m m'
_space_group_IT_number 47
_space_group_name_Hall '-P 2 2'
_cell_length_a 4.4426
_cell_length_b 5.4438
_cell_length_c 9.5501
_cell_angle_alpha 90.00
_cell_angle_beta 90.00
_cell_angle_gamma 90.00
loop_
_atom_site_label
_atom_site_type_symbol
_atom_site_fract_x
_atom_site_fract_y
_atom_site_fract_z
Y1 Y 0.0000 0.0000 0.0000
Y2 Y 0.0000 0.5000 0.5000
Al1 Al 0.5000 0.0000 0.5000
Al2 Al 0.5000 0.2483 0.2444
Ag1 Ag 0.0000 0.0000 0.3351
Ag2 Ag 0.0000 0.5000 0.1802
Ag3 Ag 0.5000 0.5000 0.0000
```

Peak list (10 most intense, 10 to 90 degrees two-theta, by intensity)
2θ 38.5, I 100, (1 1 3)
2θ 20.0, I 34, (1 0 0)
2θ 32.6, I 32, (0 1 3)
2θ 38.8, I 30, (1 2 0)
2θ 32.9, I 29, (0 2 0)
2θ 40.6, I 28, (2 0 0)
2θ 62.5, I 23, (1 3 3)
2θ 53.0, I 15, (2 1 3)
2θ 18.8, I 15, (0 1 1)
2θ 72.5, I 15, (3 1 3)

Record 2
Structure and computed X-ray powder pattern of K3U2S3O4 (a crystal structure in Alexandria, relaxed with PBE; copper Kα).

Structure:
```
data_K3U2S3O4
_space_group_name_H-M_alt 'I m m m'
_space_group_IT_number 71
_space_group_name_Hall '-I 2 2'
_cell_length_a 4.2427
_cell_length_b 5.3627
_cell_length_c 24.0930
_cell_angle_alpha 90.00
_cell_angle_beta 90.00
_cell_angle_gamma 90.00
loop_
_atom_site_label
_atom_site_type_symbol
_atom_site_fract_x
_atom_site_fract_y
_atom_site_fract_z
K1 K 0.0000 0.0000 0.0000
K2 K 0.0000 0.0000 0.1987
U1 U 0.0000 0.0000 0.3895
S1 S 0.0000 0.0000 0.5000
S2 S 0.0000 0.5000 0.3947
O1 O 0.0000 0.0000 0.3095
O2 O 0.0000 0.5000 0.1105
```

Peak list (10 most intense, 10 to 90 degrees two-theta, by intensity)
2θ 14.7, I 100, (0 0 4)
2θ 26.8, I 86, (1 1 0)
2θ 16.9, I 75, (0 1 1)
2θ 24.8, I 71, (0 1 5)
2θ 28.0, I 70, (1 0 5)
2θ 21.3, I 64, (1 0 1)
2θ 33.4, I 46, (0 2 0)
2θ 44.2, I 42, (1 2 5)
2θ 46.5, I 27, (1 1 10)
2θ 40.0, I 26, (1 2 1)

Record 3
Structure and computed X-ray powder pattern of MgH2Ir6 (a crystal structure in Alexandria, relaxed with PBE; copper Kα).

Structure:
```
data_MgH2Ir6
_space_group_name_H-M_alt 'C 1 2 1'
_space_group_IT_number 5
_space_group_name_Hall 'C 2y'
_cell_length_a 9.3093
_cell_length_b 4.7817
_cell_length_c 5.4496
_cell_angle_alpha 90.00
_cell_angle_beta 107.13
_cell_angle_gamma 90.00
loop_
_atom_site_label
_atom_site_type_symbol
_atom_site_fract_x
_atom_site_fract_y
_atom_site_fract_z
Mg1 Mg 0.0000 0.0000 0.0000
H1 H 0.0776 0.8319 0.3912
Ir1 Ir 0.0038 0.5168 0.7505
Ir2 Ir 0.2373 0.3154 0.6168
Ir3 Ir 0.2405 0.3204 0.1223
```

Peak list (10 most intense, 10 to 90 degrees two-theta, by intensity)
2θ 43.3, I 100, (1 1 2)
2θ 42.9, I 67, (2 2 0)
2θ 21.1, I 47, (1 1 0)
2θ 38.0, I 42, (1 1 -2)
2θ 40.6, I 42, (4 0 0)
2θ 20.0, I 23, (2 0 0)
2θ 82.4, I 20, (5 3 -2)
2θ 84.7, I 20, (0 2 4)
2θ 68.2, I 18, (1 3 -2)
2θ 45.2, I 13, (4 0 -2)

Record 4
Structure and computed X-ray powder pattern of SrZnGa2Ir2 (a crystal structure in Alexandria, relaxed with PBE; copper Kα).

Structure:
```
data_SrZnGa2Ir2
_space_group_name_H-M_alt 'R -3 m'
_space_group_IT_number 166
_space_group_name_Hall '-R 3 2"'
_cell_length_a 4.1900
_cell_length_b 4.1900
_cell_length_c 27.9839
_cell_angle_alpha 90.00
_cell_angle_beta 90.00
_cell_angle_gamma 120.00
loop_
_atom_site_label
_atom_site_type_symbol
_atom_site_fract_x
_atom_site_fract_y
_atom_site_fract_z
Sr1 Sr 0.0000 0.0000 0.0000
Zn1 Zn 0.0000 0.0000 0.5000
Ga1 Ga 0.0000 0.0000 0.2425
Ir1 Ir 0.0000 0.0000 0.4127
```

Peak list (10 most intense, 10 to 90 degrees two-theta, by intensity)
2θ 43.2, I 100, (1 1 0)
2θ 29.3, I 97, (0 1 5)
2θ 24.7, I 82, (1 0 1)
2θ 19.0, I 72, (0 0 6)
2θ 59.3, I 69, (1 1 12)
2θ 47.6, I 41, (1 1 6)
2θ 38.6, I 41, (0 0 12)
2θ 43.4, I 38, (0 1 11)
2θ 25.4, I 30, (0 1 2)
2θ 33.3, I 29, (1 0 7)

Question: Which formula does entry 3 have?
Answer: MgH2Ir6